No. 1
TbNd3Pt: theoretical XRD peak list (CuKα), based on a PBE-relaxed structure.
Peak positions follow from Bragg's law for the DFT cell and can differ from measured ones.

Top 10 peaks for 5 to 70 degrees two-theta, sorted by position:
2θ 13.5, I = 23, hkl 1 0 0; 2θ 19.8, I = 25, hkl 0 0 2; 2θ 28.6, I = 30, hkl 1 1 -2; 2θ 30.8, I = 100, hkl 1 1 2; 2θ 31.5, I = 40, hkl 1 0 -3; 2θ 32.3, I = 39, hkl 2 1 0; 2θ 32.9, I = 60, hkl 2 1 -1; 2θ 34.6, I = 65, hkl 0 2 0; 2θ 47.5, I = 35, hkl 1 2 -3; 2θ 60.9, I = 26, hkl 3 2 2

Structural model:
```
TbNd3Pt
1.0
6.6002 0.0000 0.0000
0.0000 5.1903 0.0000
-1.0447 0.0000 8.9378
Tb Nd Pt
2 6 2
Direct
0.2399 0.2500 0.2487
0.7601 0.7500 0.7513
0.1086 0.2500 0.7906
0.2773 0.7500 0.5558
0.3226 0.7500 0.9809
0.6774 0.2500 0.0191
0.7227 0.2500 0.4442
0.8914 0.7500 0.2094
0.4708 0.7500 0.2923
0.5292 0.2500 0.7077
```


No. 2
LaPaSeN2: theoretical XRD peak list (CuKα), based on a PBE-relaxed structure.
Peak positions follow from Bragg's law for the DFT cell and can differ from measured ones.

Top 10 peaks for 5 to 70 degrees two-theta, sorted by position:
2θ 14.0, I = 13, hkl 0 0 2; 2θ 23.6, I = 20, hkl 1 0 1; 2θ 31.0, I = 100, hkl 1 0 3; 2θ 32.0, I = 42, hkl 1 1 0; 2θ 42.9, I = 9, hkl 0 0 6; 2θ 43.2, I = 9, hkl 1 1 4; 2θ 46.0, I = 20, hkl 2 0 0; 2θ 54.6, I = 20, hkl 1 1 6; 2θ 56.5, I = 37, hkl 2 1 3; 2θ 64.7, I = 10, hkl 2 0 6

Structural model:
```
LaPaSeN2
1.0
3.9494 0.0000 0.0000
0.0000 3.9494 0.0000
0.0000 0.0000 12.6368
La Pa Se N
2 2 2 4
Direct
0.0000 0.0000 0.0000
0.5000 0.5000 0.5000
0.0000 0.0000 0.3123
0.5000 0.5000 0.8123
0.0000 0.0000 0.6567
0.5000 0.5000 0.1567
0.0000 0.5000 0.3889
0.0000 0.5000 0.8889
0.5000 0.0000 0.3889
0.5000 0.0000 0.8889
```